Entry 1:
NdHo3Er8: computed powder diffractogram (copper Kα), based on a DFT-relaxed cell (PBE, Alexandria).

Principal peaks in the range 2θ = 15–90°, in order of falling intensity:
two_theta  Rel. int.
32.00  100.0
32.33  67.9
31.74  50.5
36.17  36.7
66.92  23.3
52.19  21.9
57.22  18.8
45.95  18.2

Atomic structure:
Cell: 6.363 11.200 11.278 Å, 90.00 90.00 90.00°
Space group Immm (No. 71)
Asymmetric unit:
Nd 0.000 0.000 0.000 [2 per cell]
Ho 0.000 0.000 0.500 [2 per cell]
Ho 0.000 0.500 0.243 [4 per cell]
Er 0.000 0.169 0.251 [8 per cell]
Er 0.247 0.256 0.000 [8 per cell]

---

Entry 2:
NdHoEr2: computed powder diffractogram (copper Kα), based on a DFT-relaxed cell (PBE, Alexandria).

Principal peaks in the range 2θ = 15–90°, in order of falling intensity:
two_theta  Rel. int.
32.93  100.0
29.94  47.2
31.24  34.7
61.20  30.8
51.18  26.4
37.44  26.2
56.68  21.4
87.31  16.5

Atomic structure:
Cell: 3.5694 3.5694 11.4514 Å, 90.00 90.00 120.00°
Space group P-3m1 (No. 164)
Asymmetric unit:
Nd 0.0000 0.0000 0.0000 [1 per cell]
Ho 0.0000 0.0000 0.5000 [1 per cell]
Er 0.3333 0.6667 0.7465 [2 per cell]

---

Entry 3:
Nd6Ho8Er: computed powder diffractogram (copper Kα), based on a DFT-relaxed cell (PBE, Alexandria).

Principal peaks in the range 2θ = 15–90°, in order of falling intensity:
two_theta  Rel. int.
31.24  100.0
32.12  29.8
30.32  20.1
36.58  14.9
59.86  11.4
52.68  11.3
34.70  10.3
53.67  9.0

Atomic structure:
Cell: 9.0963 9.0963 20.8524 Å, 90.00 90.00 120.00°
Space group R-3 (No. 148, hexagonal axes)
Asymmetric unit:
Nd 0.0619 0.2488 0.2105 [18 per cell]
Ho 0.0000 0.0000 0.0768 [6 per cell]
Ho 0.0810 0.5565 0.3070 [18 per cell]
Er 0.0000 0.0000 0.5000 [3 per cell]

---

Entry 4:
Nd6HoEr8: computed powder diffractogram (copper Kα), based on a DFT-relaxed cell (PBE, Alexandria).

Principal peaks in the range 2θ = 15–90°, in order of falling intensity:
two_theta  Rel. int.
33.30  100.0
32.71  85.5
31.92  78.8
25.62  41.2
50.41  25.7
29.42  17.5
52.98  14.1
47.38  13.4

Atomic structure:
Cell: 9.4835 9.4835 6.5346 Å, 90.00 90.00 120.00°
Space group P-3 (No. 147)
Asymmetric unit:
Nd 0.0870 0.6790 0.4056 [6 per cell]
Ho 0.0000 0.0000 0.5000 [1 per cell]
Er 0.0208 0.3303 0.1013 [6 per cell]
Er 0.3333 0.6667 0.8502 [2 per cell]

---

Entry 5:
NdHo2Er4: computed powder diffractogram (copper Kα), based on a DFT-relaxed cell (PBE, Alexandria).

Principal peaks in the range 2θ = 15–90°, in order of falling intensity:
two_theta  Rel. int.
31.60  100.0
31.76  47.3
33.25  45.9
33.14  44.5
30.32  36.3
62.31  28.7
48.63  19.5
58.42  16.7

Atomic structure:
Cell: 16.537 3.508 8.695 Å, 90.00 119.37 90.00°
Space group C2/m (No. 12)
Asymmetric unit:
Nd 0.000 0.000 0.000 [2 per cell]
Ho 0.070 0.000 0.430 [4 per cell]
Er 0.142 0.500 0.834 [4 per cell]
Er 0.206 0.500 0.294 [4 per cell]

---

Entry 6:
NdHo8Er3: computed powder diffractogram (copper Kα), based on a DFT-relaxed cell (PBE, Alexandria).

Principal peaks in the range 2θ = 15–90°, in order of falling intensity:
two_theta  Rel. int.
32.80  100.0
28.56  23.9
31.91  23.9
61.06  22.6
57.43  20.4
50.58  19.9
61.61  16.5
43.35  15.5

Atomic structure:
Cell: 10.829 11.218 6.250 Å, 90.00 90.00 90.00°
Space group Imm2 (No. 44)
Asymmetric unit:
Nd 0.000 0.000 0.000 [2 per cell]
Ho 0.165 0.500 0.500 [4 per cell]
Ho 0.167 0.252 0.832 [8 per cell]
Ho 0.168 0.000 0.501 [4 per cell]
Er 0.000 0.251 0.333 [4 per cell]
Er 0.000 0.500 0.001 [2 per cell]

---

Entry 7:
Nd3Ho3Er4: computed powder diffractogram (copper Kα), based on a DFT-relaxed cell (PBE, Alexandria).

Principal peaks in the range 2θ = 15–90°, in order of falling intensity:
two_theta  Rel. int.
32.34  100.0
29.99  64.4
30.88  31.5
59.11  19.0
55.69  18.9
49.66  11.7
38.93  11.0
46.83  11.0

Atomic structure:
Cell: 3.671 13.290 13.358 Å, 90.00 90.00 90.00°
Space group Amm2 (No. 38)
Asymmetric unit:
Nd 0.000 0.000 0.000 [2 per cell]
Nd 0.000 0.174 0.673 [4 per cell]
Ho 0.000 0.000 0.347 [2 per cell]
Ho 0.500 0.246 0.421 [4 per cell]
Er 0.500 0.000 0.547 [2 per cell]
Er 0.500 0.000 0.798 [2 per cell]
Er 0.500 0.124 0.176 [4 per cell]

---

Entry 8:
Nd3Ho2Er3: computed powder diffractogram (copper Kα), based on a DFT-relaxed cell (PBE, Alexandria).

Principal peaks in the range 2θ = 15–90°, in order of falling intensity:
two_theta  Rel. int.
32.30  100.0
30.10  60.3
54.86  44.8
43.08  22.8
58.94  17.9
87.92  12.2
67.60  11.8
70.98  10.4

Atomic structure:
Cell: 5.936 5.941 14.759 Å, 90.00 90.00 90.00°
Space group Immm (No. 71)
Asymmetric unit:
Nd 0.000 0.000 0.000 [2 per cell]
Nd 0.000 0.500 0.129 [4 per cell]
Ho 0.000 0.000 0.252 [4 per cell]
Er 0.000 0.000 0.500 [2 per cell]
Er 0.000 0.500 0.375 [4 per cell]